This entry pairs a crystal structure of Pr2GdZn5Cd with its theoretical X-ray diffraction stick pattern. Radiation: Cu Kα X-rays. Structure: a structure optimized by DFT (GGA-PBE).
Kinematic intensities with the Lorentz-polarization factor, no thermal factor.

Atomic structure:
```
data_Pr2GdZn5Cd
_cell_length_a 4.5157
_cell_length_b 12.4156
_cell_length_c 7.0688
_cell_angle_alpha 90.00
_cell_angle_beta 90.00
_cell_angle_gamma 90.00
_space_group_name_H-M_alt 'A m m 2'
_space_group_IT_number 38
loop_
_space_group_symop_operation_xyz
'x,y,z'
'-x,-y,z'
'-x,y,z'
'x,-y,z'
'x,y+1/2,z+1/2'
'-x,-y+1/2,z+1/2'
'-x,y+1/2,z+1/2'
'x,-y+1/2,z+1/2'
loop_
_atom_site_label
_atom_site_type_symbol
_atom_site_fract_x
_atom_site_fract_y
_atom_site_fract_z
Pr1 Pr 0.0000 0.2165 0.0000
Gd1 Gd 0.0000 0.0000 0.3421
Zn1 Zn 0.5000 0.0000 0.0225
Zn2 Zn 0.5000 0.1199 0.6589
Zn3 Zn 0.5000 0.1626 0.2850
Cd1 Cd 0.0000 0.0000 0.7756
```

The 8 most intense peaks (10° ≤ 2θ ≤ 80°), in order of rising 2θ:
| hkl | 2theta | Rel. int. |
| --- | --- | --- |
| 0 2 2 | 29.07 | 25 |
| 1 3 1 | 31.95 | 55 |
| 1 0 2 | 32.16 | 22 |
| 1 4 0 | 35.08 | 53 |
| 1 2 2 | 35.34 | 100 |
| 2 0 0 | 39.93 | 41 |
| 3 4 0 | 69.36 | 15 |
| 3 2 2 | 69.54 | 20 |